Simulated powder XRD pattern
Compound: LuCoO3
Radiation: Cu Kα (λ = 1.5418 Å)
Structure: a crystal structure in the Materials Project, relaxed with GGA+U
Intensities are scaled so that the largest is 100.

Top 10 peaks for 10 to 90 degrees two-theta, low angle first:
two_theta  Rel. int.
23.98  19.7
24.37  15.6
26.95  32.0
32.87  15.3
34.45  100.0
35.15  21.0
35.43  25.5
50.76  17.8
55.16  21.9
62.98  27.9

Structural model:
```
data_LuCoO3
_chemical_formula_sum 'Lu4 Co4 O12'
_space_group_name_H-M_alt 'P 1'
_space_group_IT_number 1
_cell_length_a 5.4503
_cell_length_b 7.3056
_cell_length_c 5.0672
_cell_angle_alpha 90.00
_cell_angle_beta 90.00
_cell_angle_gamma 90.00
loop_
_space_group_symop_operation_xyz
'x,y,z'
loop_
_atom_site_label
_atom_site_type_symbol
_atom_site_fract_x
_atom_site_fract_y
_atom_site_fract_z
Lu1 Lu 0.0800 0.2500 0.0241
Lu2 Lu 0.4200 0.7500 0.5241
Lu3 Lu 0.5800 0.2500 0.4759
Lu4 Lu 0.9200 0.7500 0.9759
Co1 Co 0.0000 0.0000 0.5000
Co2 Co 0.0000 0.5000 0.5000
Co3 Co 0.5000 0.0000 0.0000
Co4 Co 0.5000 0.5000 0.0000
O1 O 0.0373 0.7500 0.3852
O2 O 0.1946 0.5561 0.8132
O3 O 0.1946 0.9439 0.8132
O4 O 0.3054 0.0561 0.3132
O5 O 0.3054 0.4439 0.3132
O6 O 0.4627 0.2500 0.8852
O7 O 0.5373 0.7500 0.1148
O8 O 0.6946 0.5561 0.6868
O9 O 0.6946 0.9439 0.6868
O10 O 0.8054 0.0561 0.1868
O11 O 0.8054 0.4439 0.1868
O12 O 0.9627 0.2500 0.6148
```

=====

Simulated powder XRD pattern
Compound: MgMn4Co2O12
Radiation: Cu Kα (λ = 1.5418 Å)
Structure: a crystal structure in the Materials Project, relaxed with GGA+U
Intensities are scaled so that the largest is 100.

Top 10 peaks for 10 to 90 degrees two-theta, low angle first:
two_theta  Rel. int.
17.33  100.0
35.32  7.4
36.48  6.7
36.58  8.2
36.80  7.7
39.57  8.6
39.62  6.9
44.07  8.2
44.23  8.3
50.63  12.6

Structural model:
```
data_MgMn4Co2O12
_chemical_formula_sum 'Mg1 Mn4 Co2 O12'
_space_group_name_H-M_alt 'P 1'
_space_group_IT_number 1
_cell_length_a 5.0530
_cell_length_b 5.0819
_cell_length_c 10.2377
_cell_angle_alpha 89.95
_cell_angle_beta 88.98
_cell_angle_gamma 60.20
loop_
_space_group_symop_operation_xyz
'x,y,z'
loop_
_atom_site_label
_atom_site_type_symbol
_atom_site_fract_x
_atom_site_fract_y
_atom_site_fract_z
Mg1 Mg 0.0000 0.0000 0.0000
Mn1 Mn 0.1716 0.4957 0.7505
Mn2 Mn 0.1771 0.9919 0.2607
Mn3 Mn 0.8327 0.1671 0.7390
Mn4 Mn 0.8361 0.6657 0.2496
Co1 Co 0.5023 0.3268 0.2593
Co2 Co 0.5025 0.8277 0.7413
O1 O 0.1509 0.1641 0.8501
O2 O 0.1580 0.6911 0.1483
O3 O 0.1639 0.3351 0.3459
O4 O 0.1689 0.8183 0.6515
O5 O 0.4994 0.1754 0.6527
O6 O 0.5048 0.4826 0.8463
O7 O 0.5083 0.9808 0.1534
O8 O 0.5105 0.6703 0.3482
O9 O 0.8464 0.8428 0.8507
O10 O 0.8489 0.9760 0.3502
O11 O 0.8528 0.4874 0.6519
O12 O 0.8537 0.3089 0.1521
```

=====

Simulated powder XRD pattern
Compound: MgMn2Co4O12
Radiation: Cu Kα (λ = 1.5418 Å)
Structure: a crystal structure in the Materials Project, relaxed with GGA+U
Intensities are scaled so that the largest is 100.

Top 10 peaks for 10 to 90 degrees two-theta, low angle first:
two_theta  Rel. int.
17.85  100.0
36.18  13.2
36.28  16.6
37.36  14.5
42.58  7.7
43.85  14.9
46.59  16.9
57.33  9.2
63.74  8.0
64.42  9.3

Structural model:
```
data_MgMn2Co4O12
_chemical_formula_sum 'Mg1 Mn2 Co4 O12'
_space_group_name_H-M_alt 'P 1'
_space_group_IT_number 1
_cell_length_a 5.0452
_cell_length_b 5.0452
_cell_length_c 10.0054
_cell_angle_alpha 93.34
_cell_angle_beta 93.34
_cell_angle_gamma 120.59
loop_
_space_group_symop_operation_xyz
'x,y,z'
loop_
_atom_site_label
_atom_site_type_symbol
_atom_site_fract_x
_atom_site_fract_y
_atom_site_fract_z
Mg1 Mg 0.0000 0.0000 0.0000
Mn1 Mn 0.0718 0.0718 0.2676
Mn2 Mn 0.5918 0.5918 0.7481
Co1 Co 0.2599 0.9254 0.7468
Co2 Co 0.4001 0.7382 0.2505
Co3 Co 0.7382 0.4001 0.2505
Co4 Co 0.9254 0.2599 0.7468
O1 O 0.0430 0.3504 0.1454
O2 O 0.0981 0.7599 0.3552
O3 O 0.2352 0.5726 0.6562
O4 O 0.2718 0.2718 0.8499
O5 O 0.3504 0.0430 0.1454
O6 O 0.4324 0.4324 0.3491
O7 O 0.5726 0.2352 0.6562
O8 O 0.6415 0.9547 0.8533
O9 O 0.7308 0.7308 0.1481
O10 O 0.7599 0.0981 0.3552
O11 O 0.8990 0.8990 0.6521
O12 O 0.9547 0.6415 0.8533
```

=====

Simulated powder XRD pattern
Compound: Mg6MnCoO8
Radiation: Cu Kα (λ = 1.5418 Å)
Structure: a crystal structure in the Materials Project, relaxed with GGA+U
Intensities are scaled so that the largest is 100.

Top 10 peaks for 10 to 90 degrees two-theta, low angle first:
two_theta  Rel. int.
20.51  9.6
20.73  18.7
29.33  15.7
36.19  38.7
41.73  51.7
42.19  100.0
60.84  57.7
61.19  28.3
73.20  12.7
76.81  26.1

Structural model:
```
data_Mg6MnCoO8
_chemical_formula_sum 'Mg6 Mn1 Co1 O8'
_space_group_name_H-M_alt 'P 1'
_space_group_IT_number 1
_cell_length_a 4.2842
_cell_length_b 4.2842
_cell_length_c 8.6588
_cell_angle_alpha 90.00
_cell_angle_beta 90.00
_cell_angle_gamma 90.00
loop_
_space_group_symop_operation_xyz
'x,y,z'
loop_
_atom_site_label
_atom_site_type_symbol
_atom_site_fract_x
_atom_site_fract_y
_atom_site_fract_z
Mg1 Mg 0.0000 0.0000 0.0000
Mg2 Mg 0.0000 0.0000 0.5000
Mg3 Mg 0.0000 0.5000 0.2472
Mg4 Mg 0.0000 0.5000 0.7528
Mg5 Mg 0.5000 0.0000 0.2472
Mg6 Mg 0.5000 0.0000 0.7528
Mn1 Mn 0.5000 0.5000 0.5000
Co1 Co 0.5000 0.5000 0.0000
O1 O 0.0000 0.0000 0.2486
O2 O 0.0000 0.0000 0.7514
O3 O 0.0000 0.5000 0.0000
O4 O 0.0000 0.5000 0.5000
O5 O 0.5000 0.0000 0.0000
O6 O 0.5000 0.0000 0.5000
O7 O 0.5000 0.5000 0.2468
O8 O 0.5000 0.5000 0.7532
```

=====

Simulated powder XRD pattern
Compound: MgMn2CoO6
Radiation: Cu Kα (λ = 1.5418 Å)
Structure: a crystal structure in the Materials Project, relaxed with GGA+U
Intensities are scaled so that the largest is 100.

Top 10 peaks for 10 to 90 degrees two-theta, low angle first:
two_theta  Rel. int.
18.31  100.0
34.18  14.7
35.73  12.7
36.24  11.1
37.08  11.0
40.95  33.9
44.06  51.3
61.06  14.9
62.36  14.8
63.98  7.5

Structural model:
```
data_MgMn2CoO6
_chemical_formula_sum 'Mg1 Mn2 Co1 O6'
_space_group_name_H-M_alt 'P 1'
_space_group_IT_number 1
_cell_length_a 2.9862
_cell_length_b 6.0815
_cell_length_c 6.4985
_cell_angle_alpha 101.67
_cell_angle_beta 103.02
_cell_angle_gamma 94.03
loop_
_space_group_symop_operation_xyz
'x,y,z'
loop_
_atom_site_label
_atom_site_type_symbol
_atom_site_fract_x
_atom_site_fract_y
_atom_site_fract_z
Mg1 Mg 0.0000 0.0000 0.0000
Mn1 Mn 0.3339 0.1685 0.6373
Mn2 Mn 0.9913 0.5014 0.9767
Co1 Co 0.6366 0.7982 0.3407
O1 O 0.1290 0.5851 0.2899
O2 O 0.1512 0.0355 0.3327
O3 O 0.4636 0.7536 0.9983
O4 O 0.5200 0.2409 0.9559
O5 O 0.8193 0.9609 0.6564
O6 O 0.8711 0.3801 0.6605
```

=====

Simulated powder XRD pattern
Compound: MgMn2Co4O12
Radiation: Cu Kα (λ = 1.5418 Å)
Structure: a crystal structure in the Materials Project, relaxed with GGA+U
Intensities are scaled so that the largest is 100.

Top 10 peaks for 10 to 90 degrees two-theta, low angle first:
two_theta  Rel. int.
17.94  100.0
36.08  8.1
36.42  7.8
36.92  7.8
38.15  14.0
42.86  7.3
43.85  7.1
44.34  7.4
47.15  7.7
47.44  8.0

Structural model:
```
data_MgMn2Co4O12
_chemical_formula_sum 'Mg1 Mn2 Co4 O12'
_space_group_name_H-M_alt 'P 1'
_space_group_IT_number 1
_cell_length_a 4.9510
_cell_length_b 5.0164
_cell_length_c 9.9833
_cell_angle_alpha 94.17
_cell_angle_beta 93.80
_cell_angle_gamma 119.42
loop_
_space_group_symop_operation_xyz
'x,y,z'
loop_
_atom_site_label
_atom_site_type_symbol
_atom_site_fract_x
_atom_site_fract_y
_atom_site_fract_z
Mg1 Mg 0.0000 0.0000 0.0000
Mn1 Mn 0.0549 0.7149 0.2500
Mn2 Mn 0.5797 0.2666 0.7498
Co1 Co 0.2507 0.6044 0.7487
Co2 Co 0.3910 0.3821 0.2563
Co3 Co 0.7234 0.0469 0.2500
Co4 Co 0.9144 0.9334 0.7322
O1 O 0.0273 0.3403 0.1483
O2 O 0.0504 0.0482 0.3503
O3 O 0.2269 0.9294 0.6445
O4 O 0.2565 0.2571 0.8536
O5 O 0.3553 0.0253 0.1482
O6 O 0.4256 0.7499 0.3433
O7 O 0.5491 0.5697 0.6508
O8 O 0.6293 0.9634 0.8482
O9 O 0.7249 0.7224 0.1380
O10 O 0.7509 0.4044 0.3443
O11 O 0.8904 0.2440 0.6508
O12 O 0.9429 0.6472 0.8466
```

=====

Simulated powder XRD pattern
Compound: MgMn2Co2O8
Radiation: Cu Kα (λ = 1.5418 Å)
Structure: a crystal structure in the Materials Project, relaxed with GGA+U
Intensities are scaled so that the largest is 100.

Top 10 peaks for 10 to 90 degrees two-theta, low angle first:
two_theta  Rel. int.
18.68  100.0
18.78  82.2
36.18  35.7
36.36  63.1
36.45  17.5
44.06  67.7
44.34  33.4
58.25  19.6
58.67  16.9
64.31  59.3

Structural model:
```
data_MgMn2Co2O8
_chemical_formula_sum 'Mg1 Mn2 Co2 O8'
_space_group_name_H-M_alt 'P 1'
_space_group_IT_number 1
_cell_length_a 5.7957
_cell_length_b 5.7957
_cell_length_c 5.7957
_cell_angle_alpha 120.07
_cell_angle_beta 119.53
_cell_angle_gamma 90.34
loop_
_space_group_symop_operation_xyz
'x,y,z'
loop_
_atom_site_label
_atom_site_type_symbol
_atom_site_fract_x
_atom_site_fract_y
_atom_site_fract_z
Mg1 Mg 0.0000 0.0000 0.0000
Mn1 Mn 0.3798 0.6256 0.7541
Mn2 Mn 0.8715 0.6256 0.2459
Co1 Co 0.3802 0.1338 0.7535
Co2 Co 0.3802 0.6267 0.2465
O1 O 0.1403 0.4161 0.2758
O2 O 0.1403 0.8644 0.7242
O3 O 0.1443 0.8649 0.2794
O4 O 0.1772 0.3937 0.7835
O5 O 0.5855 0.8649 0.7206
O6 O 0.6102 0.3937 0.2165
O7 O 0.6148 0.3937 0.7789
O8 O 0.6148 0.8359 0.2211
```

=====

Simulated powder XRD pattern
Compound: MgMn2Co2O8
Radiation: Cu Kα (λ = 1.5418 Å)
Structure: a crystal structure in the Materials Project, relaxed with GGA+U
Intensities are scaled so that the largest is 100.

Top 10 peaks for 10 to 90 degrees two-theta, low angle first:
two_theta  Rel. int.
18.16  100.0
18.48  59.1
18.71  31.8
35.89  17.3
36.84  22.3
42.04  43.2
43.28  41.8
45.10  37.5
64.09  20.6
64.43  11.6

Structural model:
```
data_MgMn2Co2O8
_chemical_formula_sum 'Mg1 Mn2 Co2 O8'
_space_group_name_H-M_alt 'P 1'
_space_group_IT_number 1
_cell_length_a 5.7894
_cell_length_b 5.8155
_cell_length_c 5.8298
_cell_angle_alpha 117.12
_cell_angle_beta 118.71
_cell_angle_gamma 92.25
loop_
_space_group_symop_operation_xyz
'x,y,z'
loop_
_atom_site_label
_atom_site_type_symbol
_atom_site_fract_x
_atom_site_fract_y
_atom_site_fract_z
Mg1 Mg 0.0000 0.0000 0.0000
Mn1 Mn 0.5000 0.0000 0.5000
Mn2 Mn 0.5000 0.5000 0.0000
Co1 Co 0.0000 0.0000 0.5000
Co2 Co 0.5000 0.0000 0.0000
O1 O 0.2277 0.2319 0.9406
O2 O 0.2448 0.2036 0.4748
O3 O 0.2615 0.8090 0.5509
O4 O 0.2950 0.7772 0.0471
O5 O 0.7050 0.2228 0.9529
O6 O 0.7385 0.1910 0.4491
O7 O 0.7552 0.7964 0.5252
O8 O 0.7723 0.7681 0.0594
```

=====

Simulated powder XRD pattern
Compound: MgMn2CoO6
Radiation: Cu Kα (λ = 1.5418 Å)
Structure: a crystal structure in the Materials Project, relaxed with GGA+U
Intensities are scaled so that the largest is 100.

Top 10 peaks for 10 to 90 degrees two-theta, low angle first:
two_theta  Rel. int.
18.92  100.0
35.67  15.1
36.09  27.1
37.60  12.9
43.40  30.2
44.28  53.8
63.34  16.6
63.74  9.3
64.12  13.1
67.16  9.8

Structural model:
```
data_MgMn2CoO6
_chemical_formula_sum 'Mg1 Mn2 Co1 O6'
_space_group_name_H-M_alt 'P 1'
_space_group_IT_number 1
_cell_length_a 6.5608
_cell_length_b 6.5608
_cell_length_c 5.7343
_cell_angle_alpha 101.76
_cell_angle_beta 101.76
_cell_angle_gamma 25.72
loop_
_space_group_symop_operation_xyz
'x,y,z'
loop_
_atom_site_label
_atom_site_type_symbol
_atom_site_fract_x
_atom_site_fract_y
_atom_site_fract_z
Mg1 Mg 0.0000 0.0000 0.0000
Mn1 Mn 0.3191 0.3191 0.1843
Mn2 Mn 0.6716 0.6716 0.7737
Co1 Co 0.9853 0.9853 0.5021
O1 O 0.1366 0.1366 0.5507
O2 O 0.1686 0.1686 0.0199
O3 O 0.4763 0.4763 0.2663
O4 O 0.4937 0.4937 0.7348
O5 O 0.8287 0.8287 0.4091
O6 O 0.8352 0.8352 0.9688
```

=====

Please write out number 6 again, unchanged.
Simulated powder XRD pattern
Compound: MgMn2Co4O12
Radiation: Cu Kα (λ = 1.5418 Å)
Structure: a crystal structure in the Materials Project, relaxed with GGA+U
Intensities are scaled so that the largest is 100.

Top 10 peaks for 10 to 90 degrees two-theta, low angle first:
two_theta  Rel. int.
17.94  100.0
36.08  8.1
36.42  7.8
36.92  7.8
38.15  14.0
42.86  7.3
43.85  7.1
44.34  7.4
47.15  7.7
47.44  8.0

Structural model:
```
data_MgMn2Co4O12
_chemical_formula_sum 'Mg1 Mn2 Co4 O12'
_space_group_name_H-M_alt 'P 1'
_space_group_IT_number 1
_cell_length_a 4.9510
_cell_length_b 5.0164
_cell_length_c 9.9833
_cell_angle_alpha 94.17
_cell_angle_beta 93.80
_cell_angle_gamma 119.42
loop_
_space_group_symop_operation_xyz
'x,y,z'
loop_
_atom_site_label
_atom_site_type_symbol
_atom_site_fract_x
_atom_site_fract_y
_atom_site_fract_z
Mg1 Mg 0.0000 0.0000 0.0000
Mn1 Mn 0.0549 0.7149 0.2500
Mn2 Mn 0.5797 0.2666 0.7498
Co1 Co 0.2507 0.6044 0.7487
Co2 Co 0.3910 0.3821 0.2563
Co3 Co 0.7234 0.0469 0.2500
Co4 Co 0.9144 0.9334 0.7322
O1 O 0.0273 0.3403 0.1483
O2 O 0.0504 0.0482 0.3503
O3 O 0.2269 0.9294 0.6445
O4 O 0.2565 0.2571 0.8536
O5 O 0.3553 0.0253 0.1482
O6 O 0.4256 0.7499 0.3433
O7 O 0.5491 0.5697 0.6508
O8 O 0.6293 0.9634 0.8482
O9 O 0.7249 0.7224 0.1380
O10 O 0.7509 0.4044 0.3443
O11 O 0.8904 0.2440 0.6508
O12 O 0.9429 0.6472 0.8466
```

=====

Please write out number 5 again, unchanged.
Simulated powder XRD pattern
Compound: MgMn2CoO6
Radiation: Cu Kα (λ = 1.5418 Å)
Structure: a crystal structure in the Materials Project, relaxed with GGA+U
Intensities are scaled so that the largest is 100.

Top 10 peaks for 10 to 90 degrees two-theta, low angle first:
two_theta  Rel. int.
18.31  100.0
34.18  14.7
35.73  12.7
36.24  11.1
37.08  11.0
40.95  33.9
44.06  51.3
61.06  14.9
62.36  14.8
63.98  7.5

Structural model:
```
data_MgMn2CoO6
_chemical_formula_sum 'Mg1 Mn2 Co1 O6'
_space_group_name_H-M_alt 'P 1'
_space_group_IT_number 1
_cell_length_a 2.9862
_cell_length_b 6.0815
_cell_length_c 6.4985
_cell_angle_alpha 101.67
_cell_angle_beta 103.02
_cell_angle_gamma 94.03
loop_
_space_group_symop_operation_xyz
'x,y,z'
loop_
_atom_site_label
_atom_site_type_symbol
_atom_site_fract_x
_atom_site_fract_y
_atom_site_fract_z
Mg1 Mg 0.0000 0.0000 0.0000
Mn1 Mn 0.3339 0.1685 0.6373
Mn2 Mn 0.9913 0.5014 0.9767
Co1 Co 0.6366 0.7982 0.3407
O1 O 0.1290 0.5851 0.2899
O2 O 0.1512 0.0355 0.3327
O3 O 0.4636 0.7536 0.9983
O4 O 0.5200 0.2409 0.9559
O5 O 0.8193 0.9609 0.6564
O6 O 0.8711 0.3801 0.6605
```